Entry 1:
Computed X-ray powder pattern of ZnB3H3O7 for Cu Kα (weighted mean of Kα1 and Kα2), from a crystal structure in the Materials Project, relaxed with PBE.
No peak broadening, texture or thermal motion is included.

Cell and atoms:
Cell lengths 6.9405, 9.9713, 8.7446 Å; angles 90.00, 121.15, 90.00 degrees
Sites, in units of the cell vectors:
Zn  0.2176  0.2202  0.1503
Zn  0.2176  0.2798  0.6503
Zn  0.7824  0.7202  0.3497
Zn  0.7824  0.7798  0.8497
B  0.1115  0.6665  0.2146
B  0.1115  0.8335  0.7146
B  0.2345  0.6711  0.9841
B  0.2345  0.8289  0.4841
B  0.4166  0.5147  0.2458
B  0.4166  0.9853  0.7458
B  0.5834  0.0147  0.2542
B  0.5834  0.4853  0.7542
B  0.7655  0.1711  0.5159
B  0.7655  0.3289  0.0159
B  0.8885  0.1665  0.2854
B  0.8885  0.3335  0.7854
H  0.2159  0.0858  0.3962
H  0.2159  0.4142  0.8962
H  0.3085  0.0342  0.9847
H  0.3085  0.4658  0.4847
H  0.4363  0.6559  0.7851
H  0.4363  0.8441  0.2851
H  0.5637  0.1559  0.7149
H  0.5637  0.3441  0.2149
H  0.6915  0.5342  0.5153
H  0.6915  0.9658  0.0153
H  0.7841  0.5858  0.1038
H  0.7841  0.9142  0.6038
O  0.0825  0.7111  0.0353
O  0.0825  0.7889  0.5353
O  0.1223  0.1590  0.3186
O  0.1223  0.3410  0.8186
O  0.2288  0.7213  0.8369
O  0.2288  0.7787  0.3369
O  0.2297  0.5404  0.2715
O  0.2297  0.9596  0.7715
O  0.3615  0.0694  0.1062
O  0.3615  0.4306  0.6062
O  0.3893  0.5743  0.0816
O  0.3893  0.9257  0.5816
O  0.4433  0.1341  0.7403
O  0.4433  0.3659  0.2403
O  0.5567  0.6341  0.7597
O  0.5567  0.8659  0.2597
O  0.6107  0.0743  0.4184
O  0.6107  0.4257  0.9184
O  0.6385  0.5694  0.3938
O  0.6385  0.9306  0.8938
O  0.7703  0.0404  0.2285
O  0.7703  0.4596  0.7285
O  0.7712  0.2213  0.6631
O  0.7712  0.2787  0.1631
O  0.8777  0.6590  0.1814
O  0.8777  0.8410  0.6814
O  0.9175  0.2111  0.4647
O  0.9175  0.2889  0.9647

Largest 6 diffraction maxima, low angle first, 2θ from 10° to 90°:
2θ/deg  I (rel.)
17.38  66
17.79  100
20.49  76
23.29  76
25.42  74
28.47  64



Entry 2:
Computed X-ray powder pattern of RbBH4 for Cu Kα (weighted mean of Kα1 and Kα2), from a crystal structure in the Materials Project, relaxed with PBE.
No peak broadening, texture or thermal motion is included.

Cell and atoms:
Cell lengths 4.9977, 4.9977, 4.9977 Å; angles 60.00, 60.00, 60.00 degrees
Sites, in units of the cell vectors:
Rb  0.0000  0.0000  0.0000
B  0.5000  0.5000  0.5000
H  0.1980  0.6007  0.6007
H  0.6007  0.1980  0.6007
H  0.6007  0.6007  0.1980
H  0.6007  0.6007  0.6007

Largest 6 diffraction maxima, low angle first, 2θ from 10° to 90°:
2θ/deg  I (rel.)
21.78  100
25.20  95
35.94  70
42.42  61
56.78  25
58.39  31